Computed PXRD pattern
Compound: Dy12Co7
Radiation: λ = 1.5418 Å (Cu Kα)
Structure: a structure optimized by DFT (GGA-PBE)

Largest 8 diffraction maxima, in order of rising 2θ, 15° ≤ 2θ ≤ 90°:
two_theta, Rel. int., index
26.39, 28, 2 0 0
31.58, 32, 1 3 1
32.66, 38, 2 3 -1
33.39, 49, 0 4 1
33.70, 100, 2 1 -4
34.13, 32, 3 1 -3
34.43, 38, 1 3 -3
58.73, 29, 2 5 -5

Cell and atoms:
a = 8.2867 Å, b = 11.2491 Å, c = 11.0144 Å
α = 90.00°, β = 125.40°, γ = 90.00°
Space group P2_1/c (No. 14)
Symmetry-distinct sites (fractional):
Dy: 0.0030 0.1596 0.3418 (multiplicity 4)
Dy: 0.2381 0.5701 0.8088 (multiplicity 4)
Dy: 0.2520 0.1989 0.1772 (multiplicity 4)
Dy: 0.2652 0.7061 0.5391 (multiplicity 4)
Dy: 0.2672 0.0707 0.9144 (multiplicity 4)
Dy: 0.3412 0.5027 0.1460 (multiplicity 4)
Co: 0.0000 0.0000 0.0000 (multiplicity 2)
Co: 0.0043 0.1001 0.6002 (multiplicity 4)
Co: 0.3991 0.6864 0.3398 (multiplicity 4)
Co: 0.4065 0.1802 0.4753 (multiplicity 4)

---

Computed PXRD pattern
Compound: Ca5PmO6
Radiation: λ = 1.5418 Å (Cu Kα)
Structure: a structure optimized by DFT (GGA-PBE)

Largest 8 diffraction maxima, in order of rising 2θ, 15° ≤ 2θ ≤ 90°:
two_theta, Rel. int., index
15.76, 14, 0 0 1
17.96, 20, 1 1 0
20.17, 16, 1 1 -1
31.83, 63, 2 0 0
36.92, 100, 1 3 1
53.20, 62, 2 0 2
63.33, 19, 3 3 1
66.51, 20, 4 0 0

Cell and atoms:
a = 5.9623 Å, b = 10.3330 Å, c = 5.9633 Å
α = 90.00°, β = 109.43°, γ = 90.00°
Space group C2/m (No. 12)
Symmetry-distinct sites (fractional):
Ca: 0.0000 0.0000 0.0000 (multiplicity 2)
Ca: 0.0000 0.1665 0.5000 (multiplicity 4)
Ca: 0.0000 0.3314 0.0000 (multiplicity 4)
Pm: 0.0000 0.5000 0.5000 (multiplicity 2)
O: 0.2492 0.3338 0.7492 (multiplicity 8)
O: 0.2489 0.5000 0.2505 (multiplicity 4)

---

Computed PXRD pattern
Compound: AlFeB4
Radiation: λ = 1.5418 Å (Cu Kα)
Structure: a structure optimized by DFT (GGA-PBE)

Largest 8 diffraction maxima, in order of rising 2θ, 15° ≤ 2θ ≤ 90°:
two_theta, Rel. int., index
22.55, 100, 1 2 0
28.26, 61, 0 0 1
31.33, 57, 2 1 0
39.75, 54, 2 3 0
42.69, 88, 2 1 1
44.75, 60, 0 4 1
47.44, 64, 1 4 1
49.48, 92, 2 3 1

Cell and atoms:
a = 5.9308 Å, b = 10.5568 Å, c = 3.1582 Å
α = 90.00°, β = 90.00°, γ = 90.00°
Space group Pbam (No. 55)
Symmetry-distinct sites (fractional):
Al: 0.0921 0.1454 0.0000 (multiplicity 4)
Fe: 0.1588 0.4112 0.0000 (multiplicity 4)
B: 0.0123 0.2981 0.5000 (multiplicity 4)
B: 0.1077 0.5581 0.5000 (multiplicity 4)
B: 0.1372 0.9803 0.5000 (multiplicity 4)
B: 0.1922 0.8144 0.5000 (multiplicity 4)

---

Computed PXRD pattern
Compound: SbAu7
Radiation: λ = 1.5418 Å (Cu Kα)
Structure: a structure optimized by DFT (GGA-PBE)

Largest 8 diffraction maxima, in order of rising 2θ, 15° ≤ 2θ ≤ 90°:
two_theta, Rel. int., index
36.55, 100, 1 1 0
36.67, 99, -1 2 1
36.80, 99, 1 -1 2
37.06, 97, 1 0 -3
41.76, 71, -2 1 1
42.63, 66, 0 2 -2
43.74, 61, 0 1 3
62.30, 43, -2 2 4

Cell and atoms:
a = 4.3263 Å, b = 5.2117 Å, c = 7.7677 Å
α = 90.53°, β = 105.74°, γ = 114.49°
Space group P-1 (No. 2)
Symmetry-distinct sites (fractional):
Sb: 0.0000 0.0000 0.0000 (multiplicity 1)
Au: 0.1337 0.8812 0.3805 (multiplicity 2)
Au: 0.2396 0.7362 0.7449 (multiplicity 2)
Au: 0.3805 0.6274 0.1297 (multiplicity 2)
Au: 0.5000 0.5000 0.5000 (multiplicity 1)

---

Computed PXRD pattern
Compound: AcPmPd
Radiation: λ = 1.5418 Å (Cu Kα)
Structure: a structure optimized by DFT (GGA-PBE)

Largest 8 diffraction maxima, in order of rising 2θ, 15° ≤ 2θ ≤ 90°:
two_theta, Rel. int., index
24.65, 24, 1 0 1
27.30, 15, 0 0 4
31.44, 100, 1 0 3
33.72, 55, 1 1 0
42.11, 18, 1 0 5
43.92, 17, 1 1 4
48.44, 20, 2 0 0
58.89, 34, 2 1 3

Cell and atoms:
a = 3.7585 Å, b = 3.7585 Å, c = 13.0693 Å
α = 90.00°, β = 90.00°, γ = 90.00°
Space group I4mm (No. 107)
Symmetry-distinct sites (fractional):
Ac: 0.0000 0.0000 0.0000 (multiplicity 2)
Pm: 0.0000 0.0000 0.2697 (multiplicity 2)
Pd: 0.0000 0.0000 0.6517 (multiplicity 2)

---

Computed PXRD pattern
Compound: Tb12Sm7Mg
Radiation: λ = 1.5418 Å (Cu Kα)
Structure: a structure optimized by DFT (GGA-PBE)

Largest 8 diffraction maxima, in order of rising 2θ, 15° ≤ 2θ ≤ 90°:
two_theta, Rel. int., index
22.32, 17, 1 1 3
29.23, 22, 0 1 5
30.79, 44, 0 3 3
31.54, 100, 4 -3 1
31.95, 49, 2 1 4
32.90, 30, 2 0 5
33.03, 44, 3 1 2
54.94, 17, 3 4 2

Cell and atoms:
a = 12.0015 Å, b = 12.0015 Å, c = 15.9817 Å
α = 90.00°, β = 90.00°, γ = 120.00°
Space group R-3 (No. 148, hexagonal axes)
Symmetry-distinct sites (fractional):
Tb: 0.0322 0.4560 0.2177 (multiplicity 18)
Tb: 0.0536 0.5844 0.5841 (multiplicity 18)
Sm: 0.0000 0.0000 0.0000 (multiplicity 3)
Sm: 0.0576 0.1883 0.2923 (multiplicity 18)
Mg: 0.0000 0.0000 0.5000 (multiplicity 3)

---

Computed PXRD pattern
Compound: CaRePb2
Radiation: λ = 1.5418 Å (Cu Kα)
Structure: a structure optimized by DFT (GGA-PBE)

Largest 8 diffraction maxima, in order of rising 2θ, 15° ≤ 2θ ≤ 90°:
two_theta, Rel. int., index
27.04, 38, 1 0 0
32.73, 49, 1 0 1
34.45, 70, 1 1 -1
34.83, 100, 0 1 2
37.61, 42, 0 2 0
41.68, 33, 1 1 -2
50.70, 29, 1 2 1
60.02, 20, 1 1 3

Cell and atoms:
a = 3.3355 Å, b = 4.7828 Å, c = 6.1843 Å
α = 90.00°, β = 98.61°, γ = 90.00°
Space group P2/m (No. 10)
Symmetry-distinct sites (fractional):
Ca: 0.0000 0.0000 0.0000 (multiplicity 1)
Re: 0.5000 0.0000 0.5000 (multiplicity 1)
Pb: 0.3577 0.5000 0.7335 (multiplicity 2)

---

Computed PXRD pattern
Compound: Sm11In9Rh4
Radiation: λ = 1.5418 Å (Cu Kα)
Structure: a structure optimized by DFT (GGA-PBE)

Largest 8 diffraction maxima, in order of rising 2θ, 15° ≤ 2θ ≤ 90°:
two_theta, Rel. int., index
32.22, 12, 3 3 1
33.95, 100, 0 6 1
34.35, 39, 4 6 0
36.17, 18, 3 5 1
37.10, 11, 1 9 0
37.35, 12, 6 2 0
48.16, 17, 0 0 2
60.49, 15, 4 6 2

Cell and atoms:
a = 14.8028 Å, b = 22.1064 Å, c = 3.7785 Å
α = 90.00°, β = 90.00°, γ = 90.00°
Space group Cmmm (No. 65)
Symmetry-distinct sites (fractional):
Sm: 0.0000 0.0000 0.0000 (multiplicity 2)
Sm: 0.0000 0.1622 0.0000 (multiplicity 4)
Sm: 0.0000 0.3741 0.0000 (multiplicity 4)
Sm: 0.1880 0.5000 0.0000 (multiplicity 4)
Sm: 0.2471 0.1693 0.0000 (multiplicity 8)
In: 0.0000 0.5000 0.5000 (multiplicity 2)
In: 0.1039 0.2637 0.5000 (multiplicity 8)
In: 0.1475 0.0706 0.5000 (multiplicity 8)
Rh: 0.1526 0.3988 0.5000 (multiplicity 8)